(1)
For LaS2O6F2, a PBE-relaxed structure gives the calculated powder X-ray diffraction pattern in this record (Cu Ka).
Peak positions follow from Bragg's law for the DFT cell and can differ from measured ones.

Structural model:
a = 6.039 Å, b = 6.039 Å, c = 5.715 Å
α = 90.00°, β = 90.00°, γ = 120.00°
Sites, in units of the cell vectors:
La: 0.000 0.000 0.000
S: 0.333 0.667 0.704
S: 0.667 0.333 0.296
O: 0.198 0.396 0.779
O: 0.198 0.802 0.779
O: 0.396 0.198 0.221
O: 0.604 0.802 0.779
O: 0.802 0.198 0.221
O: 0.802 0.604 0.221
F: 0.333 0.667 0.389
F: 0.667 0.333 0.611

Top 6 peaks for 10 to 90 degrees two-theta, sorted by position:
d/Å, intensity
3.858, 100.0
3.020, 40.2
2.508, 27.0
2.378, 20.8
1.929, 17.6
1.868, 23.8


(2)
For La6S3O2F8, a PBE-relaxed structure gives the calculated powder X-ray diffraction pattern in this record (Cu Ka).
Peak positions follow from Bragg's law for the DFT cell and can differ from measured ones.

Structural model:
a = 13.834 Å, b = 3.974 Å, c = 13.946 Å
α = 90.00°, β = 119.73°, γ = 90.00°
Sites, in units of the cell vectors:
La: 0.000 0.000 0.000
La: 0.043 0.500 0.281
La: 0.156 0.500 0.626
La: 0.227 0.500 0.934
La: 0.333 0.000 0.517
La: 0.413 0.000 0.832
La: 0.508 0.000 0.174
La: 0.574 0.500 0.469
La: 0.669 0.000 0.753
La: 0.755 0.000 0.090
La: 0.820 0.500 0.367
La: 0.889 0.500 0.692
S: 0.086 0.000 0.756
S: 0.476 0.500 0.699
S: 0.565 0.500 0.046
S: 0.759 0.000 0.508
S: 0.814 0.500 0.946
S: 0.999 0.000 0.417
O: 0.263 0.000 0.642
O: 0.303 0.500 0.816
O: 0.702 0.500 0.664
O: 0.844 0.500 0.207
F: 0.027 0.500 0.904
F: 0.080 0.500 0.122
F: 0.171 0.000 0.325
F: 0.184 0.000 0.023
F: 0.208 0.500 0.475
F: 0.353 0.000 0.981
F: 0.382 0.500 0.435
F: 0.386 0.500 0.132
F: 0.490 0.000 0.338
F: 0.533 0.000 0.550
F: 0.606 0.500 0.300
F: 0.616 0.000 0.896
F: 0.716 0.000 0.252
F: 0.871 0.000 0.793
F: 0.953 0.500 0.561
F: 0.961 0.000 0.154

Top 6 peaks for 10 to 90 degrees two-theta, sorted by position:
d/Å, intensity
3.774, 77.2
3.357, 84.7
3.340, 83.2
3.325, 86.2
2.997, 100.0
2.821, 67.2


(3)
For La2PF2, a PBE-relaxed structure gives the calculated powder X-ray diffraction pattern in this record (Cu Ka).
Peak positions follow from Bragg's law for the DFT cell and can differ from measured ones.

Structural model:
a = 3.808 Å, b = 3.808 Å, c = 13.400 Å
α = 90.00°, β = 90.00°, γ = 90.00°
Sites, in units of the cell vectors:
La: 0.000 0.000 0.124
La: 0.000 0.000 0.876
La: 0.500 0.500 0.376
La: 0.500 0.500 0.624
P: 0.000 0.000 0.500
P: 0.500 0.500 0.000
F: 0.000 0.500 0.250
F: 0.000 0.500 0.750
F: 0.500 0.000 0.250
F: 0.500 0.000 0.750

Top 6 peaks for 10 to 90 degrees two-theta, sorted by position:
d/Å, intensity
3.663, 100.0
2.898, 98.8
2.693, 58.7
2.192, 50.2
2.099, 64.8
1.904, 35.0